(1)
# Cs2FeNiC6N6
Simulated PXRD pattern, CuKα. Input: a cell relaxed with GGA-PBE.
Peak positions follow from Bragg's law for the DFT cell and can differ from measured ones.

Main lines, low angle first (5° ≤ 2θ ≤ 70°):
Position (°2θ)	I (rel.)
24.53	100.0
30.16	19.2
34.97	36.8
39.25	6.0
43.18	35.2
50.28	20.4
53.57	4.4
56.72	25.1
62.71	5.8
68.39	24.0

Crystal structure
abc: 7.2582 7.2582 7.2582
angles: 60.00 60.00 60.00
Fractional coordinates of all 16 atoms:
Cs 0.2500 0.2500 0.2500
Cs 0.7500 0.7500 0.7500
Fe 0.0000 0.0000 0.0000
Ni 0.5000 0.5000 0.5000
C 0.1840 0.1840 0.8160
C 0.1840 0.8160 0.1840
C 0.1840 0.8160 0.8160
C 0.8160 0.1840 0.1840
C 0.8160 0.1840 0.8160
C 0.8160 0.8160 0.1840
N 0.2990 0.2990 0.7010
N 0.2990 0.7010 0.2990
N 0.2990 0.7010 0.7010
N 0.7010 0.2990 0.2990
N 0.7010 0.2990 0.7010
N 0.7010 0.7010 0.2990



(2)
# CsGdC2O6
Simulated PXRD pattern, CuKα. Input: a cell relaxed with GGA-PBE.
Peak positions follow from Bragg's law for the DFT cell and can differ from measured ones.

Main lines, low angle first (5° ≤ 2θ ≤ 70°):
Position (°2θ)	I (rel.)
20.63	79.8
21.58	32.4
22.75	68.3
23.43	76.4
26.14	82.9
26.43	56.2
27.04	100.0
28.03	74.5
34.51	48.8
41.22	34.0

Crystal structure
abc: 8.5800 8.8911 8.8922
angles: 98.72 96.59 115.37
Fractional coordinates of all 40 atoms:
Cs 0.2414 0.1896 0.0269
Cs 0.2449 0.0308 0.5370
Cs 0.7551 0.9692 0.4630
Cs 0.7586 0.8104 0.9731
Gd 0.2412 0.7138 0.0432
Gd 0.2611 0.5221 0.5488
Gd 0.7389 0.4779 0.4512
Gd 0.7588 0.2862 0.9568
C 0.0047 0.7228 0.7128
C 0.0285 0.2979 0.7894
C 0.4146 0.6004 0.2667
C 0.4565 0.8587 0.7601
C 0.5435 0.1413 0.2399
C 0.5854 0.3996 0.7333
C 0.9715 0.7021 0.2106
C 0.9953 0.2772 0.2872
O 0.0470 0.6261 0.6171
O 0.0653 0.4292 0.9019
O 0.0946 0.7994 0.8522
O 0.1039 0.8441 0.2059
O 0.1194 0.3081 0.6832
O 0.1339 0.2616 0.3395
O 0.2756 0.6179 0.2943
O 0.3908 0.7267 0.8250
O 0.4420 0.8230 0.6106
O 0.4628 0.6273 0.1373
O 0.4686 0.9873 0.1598
O 0.4950 0.5574 0.3724
O 0.5050 0.4426 0.6276
O 0.5314 0.0127 0.8402
O 0.5372 0.3727 0.8627
O 0.5580 0.1770 0.3894
O 0.6092 0.2733 0.1750
O 0.7244 0.3821 0.7057
O 0.8661 0.7384 0.6605
O 0.8806 0.6919 0.3168
O 0.8961 0.1559 0.7941
O 0.9054 0.2006 0.1478
O 0.9347 0.5708 0.0981
O 0.9530 0.3739 0.3829



(3)
# CsH3CN2O
Simulated PXRD pattern, CuKα. Input: a cell relaxed with GGA-PBE.
Peak positions follow from Bragg's law for the DFT cell and can differ from measured ones.

Main lines, low angle first (5° ≤ 2θ ≤ 70°):
Position (°2θ)	I (rel.)
16.59	35.6
18.29	54.9
20.64	30.3
22.66	57.9
23.45	100.0
26.36	36.8
29.02	30.4
29.76	58.9
31.58	42.7
34.22	62.1

Crystal structure
abc: 6.5194 7.2563 9.3315
angles: 90.00 90.00 90.00
Fractional coordinates of all 32 atoms:
Cs 0.1676 0.0730 0.1370
Cs 0.3324 0.9270 0.6370
Cs 0.6676 0.4270 0.8630
Cs 0.8324 0.5730 0.3630
H 0.0541 0.3239 0.6423
H 0.1800 0.2398 0.4375
H 0.1886 0.4919 0.7452
H 0.3114 0.5081 0.2452
H 0.3200 0.7602 0.9375
H 0.4459 0.6761 0.1423
H 0.5541 0.1761 0.3577
H 0.6800 0.2602 0.5625
H 0.6886 0.0081 0.2548
H 0.8114 0.9919 0.7548
H 0.8200 0.7398 0.0625
H 0.9459 0.8239 0.8577
C 0.1772 0.5742 0.0477
C 0.3228 0.4258 0.5477
C 0.6772 0.9258 0.9523
C 0.8228 0.0742 0.4523
N 0.1807 0.4066 0.6573
N 0.1946 0.6748 0.9274
N 0.3054 0.3252 0.4274
N 0.3193 0.5934 0.1573
N 0.6807 0.0934 0.3427
N 0.6946 0.8252 0.0726
N 0.8054 0.1748 0.5726
N 0.8193 0.9066 0.8427
O 0.0283 0.4600 0.0682
O 0.4717 0.5400 0.5682
O 0.5283 0.0400 0.9318
O 0.9717 0.9600 0.4318